No. 1
For MoP2O8, a cell relaxed with PBE+U gives the theoretical powder X-ray diffraction pattern in this record (Cu Kα (λ = 1.5418 Å)).
Kinematic intensities with the Lorentz-polarization factor, no thermal factor.

Cell and atoms:
```
MoP2O8
1.0
4.9815 0.0000 0.0000
0.0000 12.9499 0.0000
-4.0245 0.0000 10.8537
Mo P O
4 8 32
direct
0.0924 0.0709 0.2888 Mo
0.0924 0.4291 0.7888 Mo
0.9076 0.5709 0.2112 Mo
0.9076 0.9291 0.7112 Mo
0.3123 0.0889 0.6152 P
0.3123 0.4111 0.1152 P
0.4044 0.7482 0.2055 P
0.4044 0.7518 0.7055 P
0.5956 0.2482 0.2945 P
0.5956 0.2518 0.7945 P
0.6877 0.5889 0.8848 P
0.6877 0.9111 0.3848 P
0.0805 0.0523 0.1432 O
0.0805 0.4477 0.6432 O
0.1221 0.0969 0.4829 O
0.1221 0.4031 0.9829 O
0.1608 0.0447 0.7017 O
0.1608 0.4553 0.2017 O
0.2246 0.6656 0.2481 O
0.2246 0.8344 0.7481 O
0.2400 0.6750 0.6157 O
0.2400 0.8250 0.1157 O
0.3690 0.1842 0.3300 O
0.3690 0.3158 0.8300 O
0.4055 0.2037 0.6610 O
0.4055 0.2963 0.1610 O
0.4139 0.5256 0.8659 O
0.4139 0.9744 0.3659 O
0.5861 0.0256 0.6341 O
0.5861 0.4744 0.1341 O
0.5945 0.7037 0.8390 O
0.5945 0.7963 0.3390 O
0.6310 0.6842 0.1700 O
0.6310 0.8158 0.6700 O
0.7600 0.1750 0.8843 O
0.7600 0.3250 0.3843 O
0.7754 0.1656 0.2519 O
0.7754 0.3344 0.7519 O
0.8392 0.5447 0.7983 O
0.8392 0.9553 0.2983 O
0.8779 0.5969 0.0171 O
0.8779 0.9031 0.5171 O
0.9195 0.5523 0.3568 O
0.9195 0.9477 0.8568 O
```

Main lines, by intensity (10° ≤ 2θ ≤ 80°):
d [Å]  2theta  I_rel
5.427  16.33  100
8.318  10.64  100
3.939  22.58  76
3.788  23.49  40
5.561  15.94  36
3.622  24.58  34
3.170  28.15  33
3.158  28.26  22

No. 2
For Mo2P3O13, a cell relaxed with PBE+U gives the theoretical powder X-ray diffraction pattern in this record (Cu Kα (λ = 1.5418 Å)).
Kinematic intensities with the Lorentz-polarization factor, no thermal factor.

Cell and atoms:
```
Mo2P3O13
1.0
9.0086 0.0000 0.0000
-3.1852 8.4418 0.0000
-3.2827 -3.9532 7.5930
Mo P O
4 6 26
direct
0.1768 0.1603 0.3332 Mo
0.1778 0.5188 0.8483 Mo
0.8222 0.4812 0.1517 Mo
0.8232 0.8397 0.6668 Mo
0.0192 0.7636 0.0139 P
0.4122 0.3233 0.7601 P
0.4121 0.5851 0.6483 P
0.5879 0.4149 0.3517 P
0.5878 0.6767 0.2399 P
0.9808 0.2364 0.9861 P
0.0310 0.6123 0.3383 O
0.0349 0.9218 0.6893 O
0.1024 0.1913 0.1078 O
0.1039 0.4113 0.9880 O
0.1403 0.7155 0.9437 O
0.1451 0.9143 0.2024 O
0.2651 0.3457 0.8008 O
0.2653 0.4285 0.4644 O
0.3130 0.6363 0.7474 O
0.3172 0.1708 0.5746 O
0.4503 0.6872 0.0969 O
0.4505 0.2576 0.3468 O
0.4781 0.4909 0.2415 O
0.5219 0.5091 0.7585 O
0.5495 0.7424 0.6532 O
0.5497 0.3128 0.9031 O
0.6828 0.8292 0.4254 O
0.6870 0.3637 0.2526 O
0.7347 0.5715 0.5356 O
0.7349 0.6543 0.1992 O
0.8549 0.0857 0.7976 O
0.8597 0.2845 0.0563 O
0.8961 0.5887 0.0120 O
0.8976 0.8087 0.8922 O
0.9651 0.0782 0.3107 O
0.9690 0.3877 0.6617 O
```

Main lines, by intensity (10° ≤ 2θ ≤ 80°):
d [Å]  2theta  I_rel
5.138  17.26  100
7.487  11.82  52
7.402  11.96  45
4.330  20.51  23
4.408  20.14  21
4.212  21.09  19
2.827  31.65  19
3.256  27.39  17